Record 1
Calculated powder XRD pattern
Compound: Ce2NiB10
Radiation: Cu Kα X-rays
Structure: a DFT-relaxed cell (GGA-PBE, the Materials Project)
Kinematic intensities with the Lorentz-polarization factor, no thermal factor.

Structure:
Cell lengths 5.602, 11.147, 4.161 Å; angles 90.00, 90.00, 90.00 degrees
Fractional positions:
1 Ce 0.188 0.138 0.000
2 Ce 0.312 0.638 0.000
3 Ce 0.688 0.362 0.000
4 Ce 0.812 0.862 0.000
5 Ni 0.000 0.500 0.500
6 Ni 0.500 0.000 0.500
7 B 0.032 0.312 0.500
8 B 0.125 0.959 0.500
9 B 0.156 0.802 0.500
10 B 0.201 0.386 0.199
11 B 0.201 0.386 0.801
12 B 0.299 0.886 0.199
13 B 0.299 0.886 0.801
14 B 0.344 0.302 0.500
15 B 0.375 0.459 0.500
16 B 0.468 0.812 0.500
17 B 0.532 0.188 0.500
18 B 0.625 0.541 0.500
19 B 0.656 0.698 0.500
20 B 0.701 0.114 0.199
21 B 0.701 0.114 0.801
22 B 0.799 0.614 0.199
23 B 0.799 0.614 0.801
24 B 0.844 0.198 0.500
25 B 0.875 0.041 0.500
26 B 0.968 0.688 0.500

Most intense lines, 2θ = 10–80°, in order of rising 2θ:
2θ = 21.36°, I 261
2θ = 22.50°, I 659
2θ = 27.88°, I 298
2θ = 31.22°, I 1000
2θ = 38.75°, I 319
2θ = 38.90°, I 496
2θ = 39.62°, I 207
2θ = 43.50°, I 195
2θ = 45.94°, I 188
2θ = 49.51°, I 384

---

Record 2
Calculated powder XRD pattern
Compound: CeGe2
Radiation: Cu Kα X-rays
Structure: a DFT-relaxed cell (GGA-PBE, the Materials Project)
Kinematic intensities with the Lorentz-polarization factor, no thermal factor.

Structure:
Cell lengths 8.452, 8.452, 8.452 Å; angles 151.57, 151.57, 40.64 degrees
Fractional positions:
1 Ce 0.375 0.625 0.750
2 Ce 0.625 0.375 0.250
3 Ge 0.045 0.795 0.250
4 Ge 0.205 0.955 0.250
5 Ge 0.795 0.045 0.750
6 Ge 0.955 0.205 0.750

Most intense lines, 2θ = 10–80°, in order of rising 2θ:
2θ = 27.32°, I 279
2θ = 32.53°, I 1000
2θ = 35.63°, I 558
2θ = 43.61°, I 386
2θ = 45.63°, I 313
2θ = 52.23°, I 93
2θ = 57.53°, I 276
2θ = 63.38°, I 125
2θ = 64.96°, I 214
2θ = 73.07°, I 189

---

Record 3
Calculated powder XRD pattern
Compound: K2HgS4
Radiation: Cu Kα X-rays
Structure: a DFT-relaxed cell (GGA-PBE, the Materials Project)
Kinematic intensities with the Lorentz-polarization factor, no thermal factor.

Structure:
Cell lengths 6.037, 6.037, 11.668 Å; angles 104.41, 104.41, 85.66 degrees
Fractional positions:
1 K 0.177 0.739 0.527
2 K 0.261 0.823 0.973
3 K 0.739 0.177 0.027
4 K 0.823 0.261 0.473
5 Hg 0.383 0.617 0.250
6 Hg 0.617 0.383 0.750
7 S 0.141 0.336 0.278
8 S 0.160 0.308 0.910
9 S 0.308 0.160 0.410
10 S 0.336 0.141 0.778
11 S 0.664 0.859 0.222
12 S 0.692 0.840 0.590
13 S 0.840 0.692 0.090
14 S 0.859 0.664 0.722

Most intense lines, 2θ = 10–80°, in order of rising 2θ:
2θ = 15.15°, I 651
2θ = 15.38°, I 601
2θ = 16.15°, I 473
2θ = 18.82°, I 410
2θ = 23.14°, I 1000
2θ = 24.76°, I 854
2θ = 25.46°, I 400
2θ = 32.61°, I 442
2θ = 32.68°, I 387
2θ = 32.79°, I 622

---

Record 4
Calculated powder XRD pattern
Compound: NaAlSi
Radiation: Cu Kα X-rays
Structure: a DFT-relaxed cell (GGA-PBE, the Materials Project)
Kinematic intensities with the Lorentz-polarization factor, no thermal factor.

Structure:
Cell lengths 4.139, 4.139, 7.310 Å; angles 90.00, 90.00, 90.00 degrees
Fractional positions:
1 Na 0.250 0.250 0.136
2 Na 0.750 0.750 0.864
3 Al 0.250 0.750 0.500
4 Al 0.750 0.250 0.500
5 Si 0.250 0.250 0.708
6 Si 0.750 0.750 0.292

Most intense lines, 2θ = 10–80°, in order of rising 2θ:
2θ = 12.11°, I 683
2θ = 30.54°, I 236
2θ = 32.69°, I 851
2θ = 32.96°, I 708
2θ = 39.44°, I 1000
2θ = 43.08°, I 286
2θ = 43.74°, I 778
2θ = 55.66°, I 336
2θ = 63.59°, I 325
2θ = 77.45°, I 266

---

Record 5
Calculated powder XRD pattern
Compound: GdFe11W
Radiation: Cu Kα X-rays
Structure: a DFT-relaxed cell (GGA-PBE, the Materials Project)
Kinematic intensities with the Lorentz-polarization factor, no thermal factor.

Structure:
Cell lengths 6.470, 6.470, 6.470 Å; angles 137.28, 98.13, 97.12 degrees
Fractional positions:
1 Gd 0.000 0.000 0.000
2 Fe 0.004 0.004 0.499
3 Fe 0.004 0.505 0.000
4 Fe 0.230 0.507 0.723
5 Fe 0.234 0.734 0.500
6 Fe 0.365 0.006 0.359
7 Fe 0.505 0.004 0.000
8 Fe 0.505 0.505 0.501
9 Fe 0.647 0.006 0.641
10 Fe 0.649 0.649 0.000
11 Fe 0.776 0.276 0.500
12 Fe 0.785 0.507 0.277
13 W 0.373 0.373 0.000

Most intense lines, 2θ = 10–80°, in order of rising 2θ:
2θ = 21.56°, I 302
2θ = 30.10°, I 268
2θ = 36.81°, I 332
2θ = 37.09°, I 386
2θ = 38.19°, I 242
2θ = 42.71°, I 1000
2θ = 42.87°, I 468
2θ = 43.85°, I 306
2θ = 43.96°, I 462
2θ = 49.08°, I 249